Record 1
Structure and computed X-ray powder pattern of Cs2KPaO4 (a GGA-PBE-relaxed structure; Cu Kα).
No peak broadening, texture or thermal motion is included.

Structure:
abc: 6.829 3.717 7.316
angles: 90.00 111.18 90.00
Space group P2/m (No. 10)
Inequivalent atoms, fractional coordinates:
1 Cs 0.000 0.000 0.000 [1 per cell]
2 Cs 0.500 0.500 0.000 [1 per cell]
3 K 0.000 0.500 0.500 [1 per cell]
4 Pa 0.500 0.000 0.500 [1 per cell]
5 O 0.311 0.000 0.663 [2 per cell]
6 O 0.315 0.500 0.323 [2 per cell]

Top 8 peaks for 2θ from 10° to 80°, by angle:
Position (°2θ), d/Å, intensity, hkl
13.9, 6.368, 50, 1 0 0
26.1, 3.411, 64, 0 0 2
28.0, 3.184, 51, 2 0 0
28.5, 3.133, 95, 1 1 -1
30.7, 2.910, 54, 2 0 -2
32.9, 2.720, 100, 1 1 1
44.4, 2.039, 36, 1 1 -3
46.8, 1.939, 36, 3 1 -1

Record 2
Structure and computed X-ray powder pattern of CsK2Pu2O7 (a GGA-PBE-relaxed structure; Cu Kα).
No peak broadening, texture or thermal motion is included.

Structure:
abc: 4.344 4.344 22.148
angles: 90.00 90.00 90.00
Space group I4/mmm (No. 139)
Inequivalent atoms, fractional coordinates:
1 Cs 0.000 0.000 0.000 [2 per cell]
2 K 0.000 0.000 0.190 [4 per cell]
3 Pu 0.000 0.000 0.401 [4 per cell]
4 O 0.000 0.000 0.314 [4 per cell]
5 O 0.000 0.000 0.500 [2 per cell]
6 O 0.000 0.500 0.100 [8 per cell]

Top 8 peaks for 2θ from 10° to 80°, by angle:
Position (°2θ), d/Å, intensity, hkl
16.0, 5.537, 19, 0 0 4
20.8, 4.263, 34, 1 0 1
28.8, 3.101, 100, 1 0 5
29.1, 3.072, 55, 1 1 0
41.6, 2.172, 30, 2 0 0
50.8, 1.796, 22, 1 1 10
51.4, 1.779, 41, 2 1 5
59.6, 1.551, 18, 2 0 10

Record 3
Structure and computed X-ray powder pattern of Cs6KRbO (a GGA-PBE-relaxed structure; Cu Kα).
No peak broadening, texture or thermal motion is included.

Structure:
abc: 10.656 18.710 8.463
angles: 90.00 90.14 90.00
Space group C2 (No. 5)
Inequivalent atoms, fractional coordinates:
1 Cs 0.110 0.000 0.295 [4 per cell]
2 Cs 0.115 0.775 0.295 [4 per cell]
3 Cs 0.228 0.886 0.705 [4 per cell]
4 K 0.000 0.555 0.500 [2 per cell]
5 Rb 0.000 0.219 0.000 [2 per cell]
6 O 0.000 0.887 0.500 [2 per cell]

Top 8 peaks for 2θ from 10° to 80°, by angle:
Position (°2θ), d/Å, intensity, hkl
14.2, 6.257, 50, 0 2 1
19.5, 4.541, 93, 1 3 1
19.7, 4.511, 48, 2 0 -1
23.1, 3.851, 59, 0 2 2
27.4, 3.255, 100, 1 5 1
27.5, 3.244, 41, 2 4 1
27.6, 3.227, 71, 3 1 -1
33.1, 2.709, 40, 1 5 -2

Record 4
Structure and computed X-ray powder pattern of Cs2K2Rb2O (a GGA-PBE-relaxed structure; Cu Kα).
No peak broadening, texture or thermal motion is included.

Structure:
abc: 4.597 9.079 12.054
angles: 109.78 90.04 104.64
Space group P-1 (No. 2)
Inequivalent atoms, fractional coordinates:
1 Cs 0.009 0.018 0.168 [2 per cell]
2 K 0.342 0.686 0.937 [2 per cell]
3 Rb 0.348 0.690 0.411 [2 per cell]
4 O 0.500 0.000 0.000 [1 per cell]

Top 8 peaks for 2θ from 10° to 80°, by angle:
Position (°2θ), d/Å, intensity, hkl
10.8, 8.228, 46, 0 1 0
20.8, 4.261, 30, 1 0 -1
22.0, 4.042, 45, 0 1 2
22.3, 3.992, 39, 0 1 -3
24.4, 3.655, 70, 1 -1 2
25.3, 3.524, 100, 1 -2 0
32.6, 2.743, 60, 0 3 0
36.0, 2.492, 30, 1 1 -4

Record 5
Structure and computed X-ray powder pattern of CsKRbO (a GGA-PBE-relaxed structure; Cu Kα).
No peak broadening, texture or thermal motion is included.

Structure:
abc: 18.121 4.598 4.598
angles: 90.00 104.61 90.00
Space group Cm (No. 8)
Inequivalent atoms, fractional coordinates:
1 Cs 0.000 0.000 0.000 [2 per cell]
2 K 0.138 0.500 0.637 [2 per cell]
3 Rb 0.354 0.000 0.355 [2 per cell]
4 O 0.499 0.000 0.500 [2 per cell]

Top 8 peaks for 2θ from 10° to 80°, by angle:
Position (°2θ), d/Å, intensity, hkl
10.1, 8.768, 58, 2 0 0
24.6, 3.614, 100, 4 0 -1
27.4, 3.251, 56, 1 1 -1
29.3, 3.048, 19, 1 1 1
32.1, 2.788, 21, 4 0 1
39.2, 2.299, 21, 0 2 0
41.6, 2.173, 24, 7 1 -1
46.8, 1.940, 34, 5 1 -2

Record 6
Structure and computed X-ray powder pattern of CsK6Rb2O (a GGA-PBE-relaxed structure; Cu Kα).
No peak broadening, texture or thermal motion is included.

Structure:
abc: 14.100 14.050 9.957
angles: 90.00 134.82 90.00
Space group Cm (No. 8)
Inequivalent atoms, fractional coordinates:
1 Cs 0.000 0.000 0.000 [2 per cell]
2 K 0.001 0.311 0.002 [4 per cell]
3 K 0.188 0.500 0.378 [2 per cell]
4 K 0.189 0.500 0.000 [2 per cell]
5 K 0.313 0.000 0.003 [2 per cell]
6 K 0.313 0.000 0.624 [2 per cell]
7 Rb 0.001 0.248 0.502 [4 per cell]
8 O 0.001 0.500 0.002 [2 per cell]

Top 8 peaks for 2θ from 10° to 80°, by angle:
Position (°2θ), d/Å, intensity, hkl
17.8, 4.982, 100, 2 0 0
20.9, 4.251, 22, 1 1 -2
21.8, 4.068, 22, 2 2 -2
25.2, 3.528, 43, 4 0 -2
25.4, 3.513, 21, 0 4 0
27.6, 3.230, 30, 3 3 -1
36.1, 2.489, 29, 4 0 -4
48.4, 1.882, 21, 6 4 -2

Record 7
Structure and computed X-ray powder pattern of CsKRhO3 (a GGA-PBE-relaxed structure; Cu Kα).
No peak broadening, texture or thermal motion is included.

Structure:
abc: 6.333 11.947 6.092
angles: 90.00 95.56 90.00
Space group C2/c (No. 15)
Inequivalent atoms, fractional coordinates:
1 Cs 0.000 0.235 0.250 [4 per cell]
2 K 0.000 0.087 0.750 [4 per cell]
3 Rh 0.000 0.468 0.750 [4 per cell]
4 O 0.000 0.307 0.750 [4 per cell]
5 O 0.200 0.480 0.501 [8 per cell]

Top 8 peaks for 2θ from 10° to 80°, by angle:
Position (°2θ), d/Å, intensity, hkl
15.9, 5.575, 52, 1 1 0
28.3, 3.152, 85, 2 0 0
29.5, 3.032, 73, 0 0 2
29.7, 3.010, 90, 1 3 -1
29.9, 2.987, 42, 0 4 0
31.0, 2.881, 100, 1 3 1
39.2, 2.299, 50, 2 0 -2
50.1, 1.821, 42, 3 3 -1

Record 8
Structure and computed X-ray powder pattern of CsKRu2O6 (a GGA-PBE-relaxed structure; Cu Kα).
No peak broadening, texture or thermal motion is included.

Structure:
abc: 10.140 13.078 7.156
angles: 90.00 92.01 90.00
Space group C2/c (No. 15)
Inequivalent atoms, fractional coordinates:
1 Cs 0.000 0.144 0.250 [4 per cell]
2 K 0.000 0.397 0.750 [4 per cell]
3 Ru 0.242 0.128 0.754 [8 per cell]
4 O 0.120 0.411 0.113 [8 per cell]
5 O 0.134 0.055 0.617 [8 per cell]
6 O 0.210 0.261 0.750 [8 per cell]

Top 8 peaks for 2θ from 10° to 80°, by angle:
Position (°2θ), d/Å, intensity, hkl
24.9, 3.576, 51, 0 0 2
25.2, 3.536, 100, 2 2 -1
25.8, 3.454, 60, 2 2 1
27.3, 3.270, 28, 0 4 0
37.3, 2.413, 22, 0 4 2
43.6, 2.074, 20, 2 2 -3
44.8, 2.024, 14, 2 2 3
45.3, 2.003, 14, 4 4 0

Record 9
Structure and computed X-ray powder pattern of Cs2K2SeO4 (a GGA-PBE-relaxed structure; Cu Kα).
No peak broadening, texture or thermal motion is included.

Structure:
abc: 6.548 6.548 8.773
angles: 90.00 90.00 90.00
Space group I4/mmm (No. 139)
Inequivalent atoms, fractional coordinates:
1 Cs 0.000 0.500 0.250 [4 per cell]
2 K 0.000 0.000 0.156 [4 per cell]
3 Se 0.000 0.000 0.500 [2 per cell]
4 O 0.212 0.212 0.500 [8 per cell]

Top 8 peaks for 2θ from 10° to 80°, by angle:
Position (°2θ), d/Å, intensity, hkl
27.2, 3.274, 72, 2 0 0
28.0, 3.184, 100, 1 1 2
33.6, 2.670, 20, 1 0 3
34.2, 2.624, 45, 2 0 2
38.9, 2.315, 47, 2 2 0
43.7, 2.070, 16, 2 1 3
48.6, 1.872, 40, 3 1 2
67.1, 1.395, 18, 1 1 6

Record 10
Structure and computed X-ray powder pattern of Cs2KU2Si4O14 (a GGA-PBE-relaxed structure; Cu Kα).
No peak broadening, texture or thermal motion is included.

Structure:
abc: 8.535 11.822 7.690
angles: 90.00 90.00 90.00
Space group Cmmm (No. 65)
Inequivalent atoms, fractional coordinates:
1 Cs 0.000 0.215 0.000 [4 per cell]
2 K 0.000 0.000 0.500 [2 per cell]
3 U 0.250 0.250 0.500 [4 per cell]
4 Si 0.191 0.500 0.205 [8 per cell]
5 O 0.000 0.247 0.500 [4 per cell]
6 O 0.000 0.500 0.200 [4 per cell]
7 O 0.241 0.115 0.295 [16 per cell]
8 O 0.247 0.000 0.000 [4 per cell]

Top 8 peaks for 2θ from 10° to 80°, by angle:
Position (°2θ), d/Å, intensity, hkl
15.0, 5.911, 42, 0 2 0
23.1, 3.845, 25, 0 0 2
23.8, 3.732, 54, 2 0 1
27.7, 3.223, 61, 0 2 2
28.3, 3.155, 100, 2 2 1
30.2, 2.956, 22, 0 4 0
38.4, 2.343, 20, 0 4 2
44.0, 2.060, 30, 2 2 3

Record 11
Structure and computed X-ray powder pattern of Cs2KSn3O8 (a GGA-PBE-relaxed structure; Cu Kα).
No peak broadening, texture or thermal motion is included.

Structure:
abc: 6.5637 6.5637 21.4974
angles: 90.00 90.00 120.00
Space group R3m (No. 160, hexagonal axes)
Inequivalent atoms, fractional coordinates:
1 Cs 0.0000 0.0000 0.0000 [3 per cell]
2 Cs 0.0000 0.0000 0.3683 [3 per cell]
3 K 0.0000 0.0000 0.7549 [3 per cell]
4 Sn 0.1670 0.3341 0.2009 [9 per cell]
5 O 0.0000 0.0000 0.1467 [3 per cell]
6 O 0.0000 0.0000 0.5892 [3 per cell]
7 O 0.0380 0.5190 0.1510 [9 per cell]
8 O 0.1868 0.3736 0.9177 [9 per cell]

Top 8 peaks for 2θ from 10° to 80°, by angle:
Position (°2θ), d/Å, intensity, hkl
12.4, 7.166, 35, 0 0 3
16.1, 5.495, 40, 1 0 1
24.9, 3.583, 41, 0 0 6
26.0, 3.429, 65, 0 1 5
29.9, 2.984, 100, 1 1 3
32.6, 2.748, 40, 2 0 2
35.7, 2.512, 38, 0 2 4
46.5, 1.953, 43, 2 0 8

Record 12
Structure and computed X-ray powder pattern of Cs2KTaO4 (a GGA-PBE-relaxed structure; Cu Kα).
No peak broadening, texture or thermal motion is included.

Structure:
abc: 6.490 12.826 24.809
angles: 90.00 90.00 90.00
Space group Fddd (No. 70, origin choice 2)
Inequivalent atoms, fractional coordinates:
1 Cs 0.125 0.125 0.318 [16 per cell]
2 K 0.125 0.125 0.125 [8 per cell]
3 Ta 0.125 0.125 0.625 [8 per cell]
4 O 0.050 0.287 0.836 [32 per cell]

Top 8 peaks for 2θ from 10° to 80°, by angle:
Position (°2θ), d/Å, intensity, hkl
14.3, 6.202, 64, 0 0 4
18.7, 4.743, 100, 1 1 3
25.6, 3.475, 47, 0 2 6
27.2, 3.278, 51, 1 3 3
27.8, 3.207, 28, 0 4 0
30.9, 2.896, 55, 2 2 0
34.2, 2.624, 21, 2 2 4
38.9, 2.314, 22, 0 2 10